InTeBr: calculated X-ray diffraction stick pattern (Cu Kα (weighted mean of Kα1 and Kα2)), based on DFT lattice parameters and positions (PBE).

Top 8 peaks for 10° ≤ 2θ ≤ 90°, by angle:
| two_theta | d_spacing | intensity |
| --- | --- | --- |
| 12.71 | 6.963 | 100 |
| 23.88 | 3.727 | 73 |
| 25.56 | 3.485 | 73 |
| 26.34 | 3.383 | 84 |
| 28.08 | 3.178 | 49 |
| 31.25 | 2.862 | 58 |
| 33.69 | 2.660 | 57 |
| 36.78 | 2.444 | 46 |

Structural model:
```
12
Lattice="7.8404 0.0000 0.0000 0.0000 7.7401 0.0000 -3.9306 0.0000 7.5958" Properties=species:S:1:pos:R:3 pbc="T T T"
In -1.3162 1.5469 2.9208
In -3.2815 2.3231 6.7187
In 7.1913 5.4170 0.8771
In 5.2260 6.1932 4.6750
Te -2.0749 4.8916 7.1312
Te -0.1097 6.7186 3.3333
Te 4.0195 1.0215 4.2625
Te 5.9848 2.8485 0.4646
Br 2.0999 0.8004 0.5991
Br 0.1347 3.0696 4.3970
Br 3.7752 4.6705 3.1988
Br 1.8099 6.9397 6.9967
```